[1]
# Cd2GaHPt6
Calculated X-ray powder pattern, λ = 1.5418 Å (Cu Kα). Input: a DFT-relaxed cell (PBE, Alexandria).
Kinematic intensities with the Lorentz-polarization factor, no thermal factor.

Main lines, by angle (5° ≤ 2θ ≤ 70°):
two_theta, I/Imax
14.6, 39
29.5, 43
34.9, 32
38.4, 61
38.7, 68
39.4, 65
42.0, 100
44.6, 25
45.0, 28
45.1, 27

Cell and atoms:
```
data_Cd2GaHPt6
_chemical_formula_sum 'Cd2 Ga1 H1 Pt6'
_space_group_name_H-M_alt 'P 1'
_space_group_IT_number 1
_cell_length_a 5.4938
_cell_length_b 5.4986
_cell_length_c 6.8476
_cell_angle_alpha 91.74
_cell_angle_beta 113.38
_cell_angle_gamma 117.73
loop_
_space_group_symop_operation_xyz
'x,y,z'
loop_
_atom_site_label
_atom_site_fract_x
_atom_site_fract_y
_atom_site_fract_z
_atom_site_occupancy
Cd1 0.0000 0.0000 0.0000 1
Cd2 0.1465 0.4636 0.6130 1
Ga1 0.5720 0.2305 0.8039 1
H1 0.8380 0.7611 0.6025 1
Pt1 0.0602 0.9085 0.4506 1
Pt2 0.0888 0.5511 0.1445 1
Pt3 0.5321 0.5308 0.0631 1
Pt4 0.5398 0.3882 0.4503 1
Pt5 0.5928 0.0547 0.1449 1
Pt6 0.6100 0.9283 0.5412 1
```


[2]
# Cd11GaHg17
Calculated X-ray powder pattern, λ = 1.5418 Å (Cu Kα). Input: a DFT-relaxed cell (PBE, Alexandria).
Kinematic intensities with the Lorentz-polarization factor, no thermal factor.

Main lines, by angle (5° ≤ 2θ ≤ 70°):
two_theta, I/Imax
30.1, 45
32.2, 47
32.4, 100
33.8, 53
33.9, 38
34.2, 68
34.9, 40
36.5, 59
37.1, 44
38.5, 48

Cell and atoms:
```
data_Cd11GaHg17
_chemical_formula_sum 'Cd22 Ga2 Hg34'
_space_group_name_H-M_alt 'C 1 m 1'
_space_group_IT_number 8
_cell_length_a 11.8880
_cell_length_b 15.9156
_cell_length_c 9.4573
_cell_angle_alpha 90.00
_cell_angle_beta 125.75
_cell_angle_gamma 90.00
loop_
_space_group_symop_operation_xyz
'x,y,z'
'x,-y,z'
'x+1/2,y+1/2,z'
'x+1/2,-y+1/2,z'
loop_
_atom_site_label
_atom_site_fract_x
_atom_site_fract_y
_atom_site_fract_z
_atom_site_occupancy
Cd1 0.0000 0.0000 0.0000 1
Cd2 0.0928 0.3045 0.3953 1
Cd3 0.0949 0.0993 0.7802 1
Cd4 0.1777 0.4030 0.1860 1
Cd5 0.3896 0.1872 0.0023 1
Cd6 0.4884 0.0982 0.5876 1
Ga1 0.2185 0.0000 0.3909 1
Hg1 0.0010 0.5000 0.3082 1
Hg2 0.0902 0.2785 0.8947 1
Hg3 0.1944 0.5000 0.9182 1
Hg4 0.2456 0.1449 0.6076 1
Hg5 0.2465 0.1301 0.1800 1
Hg6 0.3030 0.3447 0.7759 1
Hg7 0.3128 0.5000 0.5825 1
Hg8 0.3742 0.0000 0.9067 1
Hg9 0.3877 0.2838 0.4642 1
Hg10 0.4525 0.3562 0.1831 1
Hg11 0.4851 0.5000 0.4271 1
```


[3]
# Cd3Ga2Hg
Calculated X-ray powder pattern, λ = 1.5418 Å (Cu Kα). Input: a DFT-relaxed cell (PBE, Alexandria).
Kinematic intensities with the Lorentz-polarization factor, no thermal factor.

Main lines, by angle (5° ≤ 2θ ≤ 70°):
two_theta, I/Imax
22.5, 22
29.9, 59
32.1, 29
32.9, 27
33.9, 76
38.1, 100
39.6, 55
40.2, 53
44.4, 20
63.5, 22

Cell and atoms:
```
data_Cd3Ga2Hg
_chemical_formula_sum 'Cd12 Ga8 Hg4'
_space_group_name_H-M_alt 'C 1 2/c 1'
_space_group_IT_number 15
_cell_length_a 6.1168
_cell_length_b 7.9203
_cell_length_c 11.1477
_cell_angle_alpha 90.00
_cell_angle_beta 91.95
_cell_angle_gamma 90.00
loop_
_space_group_symop_operation_xyz
'x,y,z'
'-x,-y,-z'
'-x,y,-z+1/2'
'x,-y,z+1/2'
'x+1/2,y+1/2,z'
'-x+1/2,-y+1/2,-z'
'-x+1/2,y+1/2,-z+1/2'
'x+1/2,-y+1/2,z+1/2'
loop_
_atom_site_label
_atom_site_fract_x
_atom_site_fract_y
_atom_site_fract_z
_atom_site_occupancy
Cd1 0.0000 0.0580 0.2500 1
Cd2 0.2482 0.0647 0.9997 1
Ga1 0.1218 0.2530 0.6230 1
Hg1 0.0000 0.4289 0.2500 1
```